Calculated X-ray diffraction stick pattern
Compound: Mn3SbO8
Radiation: a wavelength of 1.5418 Å
Structure: a cell relaxed with GGA+U
Lines closer than 0.1° are merged.

Crystal structure
a b c (Å): 6.0603 6.0603 6.0603
angles (deg): 60.24 60.24 60.24
Positions (direct):
1 Mn 0.0000 0.5000 0.5000
2 Mn 0.5000 0.0000 0.5000
3 Mn 0.5000 0.5000 0.0000
4 Sb 0.0000 0.0000 0.0000
5 O 0.2338 0.2338 0.7343
6 O 0.2338 0.7343 0.2338
7 O 0.2657 0.7662 0.7662
8 O 0.2738 0.2738 0.2738
9 O 0.7262 0.7262 0.7262
10 O 0.7343 0.2338 0.2338
11 O 0.7662 0.2657 0.7662
12 O 0.7662 0.7662 0.2657

Most intense lines, 10° ≤ 2θ ≤ 80°, by angle:
two_theta  intensity
18.0  100
20.7  7
34.6  38
36.2  10
42.1  41
46.1  10
55.7  14
60.9  13
61.2  10
64.1  15


Calculated X-ray diffraction stick pattern
Compound: Mn5Sb3O16
Radiation: a wavelength of 1.5418 Å
Structure: a cell relaxed with GGA+U
Lines closer than 0.1° are merged.

Crystal structure
a b c (Å): 6.1069 6.1069 9.1761
angles (deg): 92.16 92.16 59.21
Positions (direct):
1 Mn 0.0000 0.0000 0.0000
2 Mn 0.1771 0.6746 0.7227
3 Mn 0.5101 0.5101 0.2259
4 Mn 0.6693 0.6693 0.5070
5 Mn 0.6746 0.1771 0.7227
6 Sb 0.0085 0.5154 0.2259
7 Sb 0.1725 0.1725 0.7242
8 Sb 0.5154 0.0085 0.2259
9 O 0.0032 0.5059 0.6192
10 O 0.1695 0.1695 0.1146
11 O 0.1799 0.6612 0.1187
12 O 0.3007 0.8558 0.8459
13 O 0.3327 0.3327 0.3426
14 O 0.3473 0.3473 0.8267
15 O 0.3956 0.8210 0.3517
16 O 0.4965 0.4965 0.6192
17 O 0.5059 0.0032 0.6192
18 O 0.6612 0.1799 0.1187
19 O 0.6859 0.6859 0.1020
20 O 0.8210 0.3956 0.3517
21 O 0.8301 0.8301 0.3550
22 O 0.8558 0.3007 0.8459
23 O 0.8697 0.8697 0.8478
24 O 0.9992 0.9992 0.6139

Most intense lines, 10° ≤ 2θ ≤ 80°, by angle:
two_theta  intensity
19.4  100
19.7  59
34.2  20
34.8  29
35.4  24
35.6  25
35.8  22
45.1  18
46.1  19
60.7  21


What did the second record say?
Calculated X-ray diffraction stick pattern
Compound: Mn5Sb3O16
Radiation: a wavelength of 1.5418 Å
Structure: a cell relaxed with GGA+U
Lines closer than 0.1° are merged.

Crystal structure
a b c (Å): 6.1069 6.1069 9.1761
angles (deg): 92.16 92.16 59.21
Positions (direct):
1 Mn 0.0000 0.0000 0.0000
2 Mn 0.1771 0.6746 0.7227
3 Mn 0.5101 0.5101 0.2259
4 Mn 0.6693 0.6693 0.5070
5 Mn 0.6746 0.1771 0.7227
6 Sb 0.0085 0.5154 0.2259
7 Sb 0.1725 0.1725 0.7242
8 Sb 0.5154 0.0085 0.2259
9 O 0.0032 0.5059 0.6192
10 O 0.1695 0.1695 0.1146
11 O 0.1799 0.6612 0.1187
12 O 0.3007 0.8558 0.8459
13 O 0.3327 0.3327 0.3426
14 O 0.3473 0.3473 0.8267
15 O 0.3956 0.8210 0.3517
16 O 0.4965 0.4965 0.6192
17 O 0.5059 0.0032 0.6192
18 O 0.6612 0.1799 0.1187
19 O 0.6859 0.6859 0.1020
20 O 0.8210 0.3956 0.3517
21 O 0.8301 0.8301 0.3550
22 O 0.8558 0.3007 0.8459
23 O 0.8697 0.8697 0.8478
24 O 0.9992 0.9992 0.6139

Most intense lines, 10° ≤ 2θ ≤ 80°, by angle:
two_theta  intensity
19.4  100
19.7  59
34.2  20
34.8  29
35.4  24
35.6  25
35.8  22
45.1  18
46.1  19
60.7  21